This entry pairs a crystal structure of CdBi2Pd8 with its computed powder diffractogram. Radiation: Cu Kα, 1.54184 Å. Structure: a structure optimized by DFT (PBE).
Neutral-atom scattering factors, no anomalous dispersion.

Largest 10 diffraction maxima, by intensity, 2θ = 10–90°:
d [Å], 2θ/deg, I_rel
2.358, 38.17, 100
2.416, 37.22, 91
2.098, 43.12, 36
1.998, 45.40, 28
2.109, 42.88, 27
1.447, 64.40, 19
1.487, 62.44, 18
1.256, 75.76, 13
1.204, 79.61, 11
1.264, 75.16, 11

Cell and atoms:
```
CdBi2Pd8
1.0
7.4566 -2.0979 0.0000
7.4566 2.0979 0.0000
-2.1184 0.0000 6.2201
Cd Bi Pd
1 2 8
Direct
0.0000 0.0000 0.0000
0.2891 0.2891 0.3361
0.7109 0.7109 0.6639
0.0857 0.0857 0.4532
0.1739 0.1739 0.9148
0.3597 0.3597 0.8104
0.4633 0.4633 0.2692
0.5367 0.5367 0.7308
0.6403 0.6403 0.1896
0.8261 0.8261 0.0852
0.9143 0.9143 0.5468
```

This entry pairs a crystal structure of CdBiPd5 with its computed powder diffractogram. Radiation: Cu Kα, 1.54184 Å. Structure: a structure optimized by DFT (PBE).
Neutral-atom scattering factors, no anomalous dispersion.

Largest 10 diffraction maxima, by intensity, 2θ = 10–90°:
d [Å], 2θ/deg, I_rel
2.330, 38.64, 100
2.313, 38.94, 98
2.053, 44.12, 69
1.407, 66.43, 40
3.626, 24.55, 39
4.626, 19.19, 31
1.933, 47.01, 28
1.235, 77.28, 26
1.227, 77.86, 25
2.469, 36.38, 13

Cell and atoms:
```
CdBiPd5
1.0
5.7722 0.0000 0.0000
0.0000 7.7323 0.0000
0.0000 0.0000 5.8404
Cd Bi Pd
2 2 10
Direct
0.0000 0.0000 0.0000
0.5000 0.5000 0.0000
0.0000 0.5000 0.5000
0.5000 0.0000 0.5000
0.0000 0.5000 0.0000
0.2500 0.2500 0.2513
0.2500 0.2500 0.7487
0.2500 0.7500 0.2513
0.2500 0.7500 0.7487
0.5000 0.0000 0.0000
0.7500 0.2500 0.2513
0.7500 0.2500 0.7487
0.7500 0.7500 0.2513
0.7500 0.7500 0.7487
```

This entry pairs a crystal structure of CdBi2Pd7 with its computed powder diffractogram. Radiation: Cu Kα, 1.54184 Å. Structure: a structure optimized by DFT (PBE).
Neutral-atom scattering factors, no anomalous dispersion.

Largest 10 diffraction maxima, by intensity, 2θ = 10–90°:
d [Å], 2θ/deg, I_rel
2.252, 40.04, 100
2.149, 42.04, 81
2.035, 44.51, 51
2.838, 31.52, 51
2.065, 43.84, 38
1.270, 74.73, 36
4.130, 21.52, 36
3.077, 29.02, 33
3.676, 24.21, 31
1.327, 71.06, 30

Cell and atoms:
```
CdBi2Pd7
1.0
4.1302 -8.0583 0.0000
4.1302 8.0583 0.0000
0.0000 0.0000 3.0769
Cd Bi Pd
1 2 7
Direct
0.0000 0.0000 0.0000
0.3216 0.6784 0.5000
0.6784 0.3216 0.5000
0.1293 0.3107 0.5000
0.1806 0.8194 0.0000
0.3107 0.1293 0.5000
0.5000 0.5000 0.5000
0.6893 0.8707 0.5000
0.8194 0.1806 0.0000
0.8707 0.6893 0.5000
```

This entry pairs a crystal structure of CdBi2Sb2Pd7 with its computed powder diffractogram. Radiation: Cu Kα, 1.54184 Å. Structure: a structure optimized by DFT (PBE).
Neutral-atom scattering factors, no anomalous dispersion.

Largest 10 diffraction maxima, by intensity, 2θ = 10–90°:
d [Å], 2θ/deg, I_rel
1.996, 45.44, 100
2.305, 39.07, 55
2.190, 41.21, 51
2.219, 40.65, 41
2.114, 42.78, 40
3.989, 22.29, 35
3.465, 25.71, 34
2.268, 39.74, 33
3.672, 24.24, 30
1.200, 79.91, 29

Cell and atoms:
```
CdBi2Sb2Pd7
1.0
2.8241 -2.8320 0.0000
2.8241 2.8320 0.0000
-1.6243 0.0000 15.8775
Cd Bi Sb Pd
1 2 2 7
Direct
0.0000 0.0000 0.0000
0.4283 0.4283 0.7518
0.5717 0.5717 0.2482
0.1407 0.1407 0.4179
0.8593 0.8593 0.5821
0.0373 0.5369 0.1307
0.3556 0.3556 0.5761
0.4631 0.9627 0.8693
0.5000 0.5000 0.0000
0.5369 0.0373 0.1307
0.6444 0.6444 0.4239
0.9627 0.4631 0.8693
```

This entry pairs a crystal structure of PmCd2Bi2 with its computed powder diffractogram. Radiation: Cu Kα, 1.54184 Å. Structure: a structure optimized by DFT (PBE).
Neutral-atom scattering factors, no anomalous dispersion.

Largest 10 diffraction maxima, by intensity, 2θ = 10–90°:
d [Å], 2θ/deg, I_rel
2.762, 32.41, 100
2.300, 39.17, 34
1.401, 66.75, 25
1.727, 53.02, 17
2.616, 34.28, 15
1.626, 56.59, 12
3.047, 29.31, 11
1.381, 67.85, 10
3.269, 27.28, 8
1.711, 53.56, 8

Cell and atoms:
```
PmCd2Bi2
1.0
2.2989 -13.0779 0.0000
2.2989 13.0779 0.0000
0.0000 0.0000 4.6017
Pm Cd Bi
2 4 4
Direct
0.1510 0.8490 0.7500
0.8490 0.1510 0.2500
0.0386 0.9614 0.2500
0.4585 0.5415 0.2500
0.5415 0.4585 0.7500
0.9614 0.0386 0.7500
0.2499 0.7501 0.2500
0.3692 0.6308 0.7500
0.6308 0.3692 0.2500
0.7501 0.2499 0.7500
```

This entry pairs a crystal structure of PmCd2Bi3 with its computed powder diffractogram. Radiation: Cu Kα, 1.54184 Å. Structure: a structure optimized by DFT (PBE).
Neutral-atom scattering factors, no anomalous dispersion.

Largest 10 diffraction maxima, by intensity, 2θ = 10–90°:
d [Å], 2θ/deg, I_rel
2.757, 32.48, 100
3.187, 28.00, 90
2.666, 33.61, 78
3.484, 25.56, 71
2.254, 40.01, 71
1.424, 65.53, 56
2.606, 34.41, 51
3.565, 24.98, 48
2.540, 35.33, 48
2.574, 34.86, 43

Cell and atoms:
```
PmCd2Bi3
1.0
4.5084 0.0000 0.0000
0.0000 12.2988 0.0000
0.0000 0.0000 6.6137
Pm Cd Bi
2 4 6
Direct
0.0000 0.1199 0.0000
0.0000 0.8801 0.5000
0.0000 0.2039 0.4927
0.0000 0.7961 0.9927
0.5000 0.4586 0.5402
0.5000 0.5414 0.0402
0.0000 0.3764 0.8380
0.0000 0.6236 0.3380
0.5000 0.0481 0.6756
0.5000 0.2912 0.1958
0.5000 0.7088 0.6958
0.5000 0.9519 0.1756
```

This entry pairs a crystal structure of PmScCdBi with its computed powder diffractogram. Radiation: Cu Kα, 1.54184 Å. Structure: a structure optimized by DFT (PBE).
Neutral-atom scattering factors, no anomalous dispersion.

Largest 10 diffraction maxima, by intensity, 2θ = 10–90°:
d [Å], 2θ/deg, I_rel
2.664, 33.64, 100
1.538, 60.15, 37
1.884, 48.31, 18
1.192, 80.63, 16
4.351, 20.41, 16
1.332, 70.71, 11
2.272, 39.67, 9
3.768, 23.61, 7
1.729, 52.96, 4
1.685, 54.45, 3

Cell and atoms:
```
PmScCdBi
1.0
7.5363 0.0000 0.0000
0.0000 7.5363 0.0000
0.0000 0.0000 7.5363
Pm Sc Cd Bi
4 4 4 4
Direct
0.0000 0.0000 0.0000
0.0000 0.5000 0.5000
0.5000 0.0000 0.5000
0.5000 0.5000 0.0000
0.0000 0.0000 0.5000
0.0000 0.5000 0.0000
0.5000 0.0000 0.0000
0.5000 0.5000 0.5000
0.2500 0.2500 0.7500
0.2500 0.7500 0.2500
0.7500 0.2500 0.2500
0.7500 0.7500 0.7500
0.2500 0.2500 0.2500
0.2500 0.7500 0.7500
0.7500 0.2500 0.7500
0.7500 0.7500 0.2500
```

This entry pairs a crystal structure of PrCdBi3 with its computed powder diffractogram. Radiation: Cu Kα, 1.54184 Å. Structure: a structure optimized by DFT (PBE).
Neutral-atom scattering factors, no anomalous dispersion.

Largest 10 diffraction maxima, by intensity, 2θ = 10–90°:
d [Å], 2θ/deg, I_rel
2.975, 30.04, 100
2.845, 31.45, 70
2.703, 33.14, 60
2.695, 33.25, 56
3.317, 26.88, 51
2.986, 29.93, 51
2.715, 32.99, 48
2.321, 38.80, 48
2.876, 31.10, 34
1.798, 50.78, 30

Cell and atoms:
```
PrCdBi3
1.0
14.2229 0.0000 0.0000
0.0000 6.5499 0.0000
0.0000 0.0000 6.5798
Pr Cd Bi
4 4 12
Direct
0.1816 0.0114 0.2500
0.1816 0.4886 0.7500
0.8184 0.5114 0.2500
0.8184 0.9886 0.7500
0.3810 0.2500 0.0000
0.3810 0.2500 0.5000
0.6190 0.7500 0.0000
0.6190 0.7500 0.5000
0.0000 0.2500 0.0000
0.0000 0.2500 0.5000
0.0000 0.7500 0.0000
0.0000 0.7500 0.5000
0.2310 0.5186 0.2500
0.2310 0.9814 0.7500
0.4189 0.6732 0.7500
0.4189 0.8268 0.2500
0.5811 0.1732 0.7500
0.5811 0.3268 0.2500
0.7690 0.0186 0.2500
0.7690 0.4814 0.7500
```

What did the first record say?
This entry pairs a crystal structure of CdBi2Pd8 with its computed powder diffractogram. Radiation: Cu Kα, 1.54184 Å. Structure: a structure optimized by DFT (PBE).
Neutral-atom scattering factors, no anomalous dispersion.

Largest 10 diffraction maxima, by intensity, 2θ = 10–90°:
d [Å], 2θ/deg, I_rel
2.358, 38.17, 100
2.416, 37.22, 91
2.098, 43.12, 36
1.998, 45.40, 28
2.109, 42.88, 27
1.447, 64.40, 19
1.487, 62.44, 18
1.256, 75.76, 13
1.204, 79.61, 11
1.264, 75.16, 11

Cell and atoms:
```
CdBi2Pd8
1.0
7.4566 -2.0979 0.0000
7.4566 2.0979 0.0000
-2.1184 0.0000 6.2201
Cd Bi Pd
1 2 8
Direct
0.0000 0.0000 0.0000
0.2891 0.2891 0.3361
0.7109 0.7109 0.6639
0.0857 0.0857 0.4532
0.1739 0.1739 0.9148
0.3597 0.3597 0.8104
0.4633 0.4633 0.2692
0.5367 0.5367 0.7308
0.6403 0.6403 0.1896
0.8261 0.8261 0.0852
0.9143 0.9143 0.5468
```

- Number 2 is which compound?
  CdBiPd5